Entry 1:
Calculated powder diffraction line list
Compound: Sc4NO
Radiation: copper Kα
Structure: the PBE geometry in Alexandria
Peak positions follow from Bragg's law for the DFT cell and can differ from measured ones.

Main lines, by angle (10 to 90 degrees two-theta):
16.83°, intensity 18.4, hkl 0 1 1; 32.55°, intensity 2.6, hkl 1 0 3; 34.04°, intensity 100.0, hkl 2 0 2; 39.46°, intensity 63.4, hkl 2 2 0; 39.60°, intensity 31.4, hkl 0 0 4; 52.03°, intensity 3.1, hkl 2 3 1; 57.03°, intensity 18.4, hkl 4 0 0; 57.14°, intensity 36.6, hkl 2 2 4; 68.11°, intensity 22.7, hkl 4 2 2; 68.30°, intensity 11.3, hkl 2 0 6; 71.66°, intensity 16.7, hkl 4 0 4; 84.93°, intensity 5.0, hkl 4 4 0

Structural model:
```
data_Sc4NO
_cell_length_a 6.456
_cell_length_b 6.463
_cell_length_c 9.104
_cell_angle_alpha 90.00
_cell_angle_beta 90.00
_cell_angle_gamma 90.00
_symmetry_space_group_name_H-M 'I m m a'
_symmetry_Int_Tables_number 74
_symmetry_space_group_name_Hall '-I 2b 2'
loop_
_atom_site_label
_atom_site_type_symbol
_atom_site_fract_x
_atom_site_fract_y
_atom_site_fract_z
_atom_site_occupancy
Sc1 Sc 0.000 0.013 0.247 1
Sc2 Sc 0.242 0.250 0.007 1
N1 N 0.250 0.250 0.250 1
O1 O 0.000 0.000 0.000 1
```

---

Entry 2:
Calculated powder diffraction line list
Compound: SiNO
Radiation: copper Kα
Structure: the PBE geometry in Alexandria
Peak positions follow from Bragg's law for the DFT cell and can differ from measured ones.

Main lines, by angle (10 to 90 degrees two-theta):
26.12°, intensity 26.2, hkl 0 0 1; 32.95°, intensity 100.0, hkl 1 0 0; 42.53°, intensity 9.3, hkl 1 0 1; 53.75°, intensity 13.9, hkl 0 0 2; 58.85°, intensity 30.3, hkl 1 1 0; 64.50°, intensity 23.1, hkl 1 0 2; 65.47°, intensity 10.4, hkl 1 1 1; 69.12°, intensity 9.3, hkl 2 0 0; 75.27°, intensity 2.2, hkl 2 0 1; 83.76°, intensity 19.6, hkl 1 1 2; 85.38°, intensity 0.9, hkl 0 0 3

Structural model:
```
data_SiNO
_cell_length_a 3.1386
_cell_length_b 3.1386
_cell_length_c 3.4110
_cell_angle_alpha 90.00
_cell_angle_beta 90.00
_cell_angle_gamma 120.00
_symmetry_space_group_name_H-M 'P -6 m 2'
_symmetry_Int_Tables_number 187
_symmetry_space_group_name_Hall 'P -6 2'
loop_
_atom_site_label
_atom_site_type_symbol
_atom_site_fract_x
_atom_site_fract_y
_atom_site_fract_z
_atom_site_occupancy
Si1 Si 0.0000 0.0000 0.0000 1
N1 N 0.6667 0.3333 0.0000 1
O1 O 0.0000 0.0000 0.5000 1
```